Diffraction record for LiCrPO4. The PXRD pattern is theoretical, not measured: it uses a crystal structure in the Materials Project, relaxed with PBE+U and Cu Kα X-rays.

Principal peaks in the range 10° ≤ 2θ ≤ 90°, by angle:
d [Å], Rel. int.
4.736, 24
4.154, 19
3.786, 45
3.468, 25
2.882, 42
2.623, 100
2.496, 40
2.126, 21
1.893, 22
1.734, 14
1.609, 14
1.486, 32

Structural model:
abc: 5.0557 5.0557 6.3009
angles: 90.00 90.00 110.49
Fractional coordinates of all 14 atoms:
Li  0.1663  0.8337  0.7500
Li  0.8337  0.1663  0.2500
Cr  0.5000  0.5000  0.0000
Cr  0.5000  0.5000  0.5000
P  0.1496  0.8504  0.2500
P  0.8504  0.1496  0.7500
O  0.1809  0.2508  0.7500
O  0.2508  0.1809  0.2500
O  0.2553  0.7447  0.0480
O  0.2553  0.7447  0.4520
O  0.7447  0.2553  0.5480
O  0.7447  0.2553  0.9520
O  0.7492  0.8191  0.7500
O  0.8191  0.7492  0.2500